Starting from a DFT-relaxed cell (PBE, Alexandria), the X-ray diffraction stick pattern of Gd2Nb3Ge4 was simulated for a wavelength of 1.5418 Å.
No peak broadening, texture or thermal motion is included.

Most intense lines, 2θ from 10° to 90°, sorted by position:
2θ/deg  I (rel.)
34.13  1000
34.48  947
36.19  513
37.47  182
38.46  208
38.78  229
39.48  208
39.65  246
40.05  312
40.31  549
57.20  188
61.40  218

Structure:
Lattice parameters (Å, degrees): 7.0575 13.6372 7.2361 90.00 90.00 90.00
Space group Pnma (No. 62)
Asymmetric unit:
Gd 0.0025 0.0950 0.1730
Nb 0.1598 0.6272 0.3288
Nb 0.1644 0.2500 0.5127
Ge 0.0392 0.2500 0.8775
Ge 0.1724 0.0425 0.5399
Ge 0.1945 0.7500 0.6357

***

Starting from a DFT-relaxed cell (PBE, Alexandria), the X-ray diffraction stick pattern of Gd2GeO5 was simulated for a wavelength of 1.5418 Å.
No peak broadening, texture or thermal motion is included.

Most intense lines, 2θ from 10° to 90°, sorted by position:
2θ/deg  I (rel.)
15.71  239
26.14  464
28.46  206
28.57  629
29.43  261
29.53  264
30.83  1000
32.98  483
42.57  181
47.06  336
50.58  207
60.69  219

Structure:
Lattice parameters (Å, degrees): 9.5377 7.0653 6.9303 90.00 100.70 90.00
Space group P2_1/c (No. 14)
Asymmetric unit:
Gd 0.0297 0.1194 0.2310
Gd 0.3506 0.1409 0.0005
Ge 0.2983 0.6000 0.9971
O 0.1054 0.1210 0.9229
O 0.1095 0.6458 0.9742
O 0.2822 0.0683 0.2960
O 0.3590 0.0700 0.6800
O 0.4008 0.6956 0.4964

***

Starting from a DFT-relaxed cell (PBE, Alexandria), the X-ray diffraction stick pattern of Gd3Ge13Os4 was simulated for a wavelength of 1.5418 Å.
No peak broadening, texture or thermal motion is included.

Most intense lines, 2θ from 10° to 90°, sorted by position:
2θ/deg  I (rel.)
19.50  506
21.83  161
27.71  239
34.11  519
35.55  1000
36.94  372
39.59  605
44.50  366
49.01  536
57.23  218
68.34  376
78.63  150

Structure:
Lattice parameters (Å, degrees): 9.1052 9.1052 9.1052 90.00 90.00 90.00
Space group Pm-3n (No. 223)
Asymmetric unit:
Gd 0.0000 0.2500 0.5000
Ge 0.0000 0.0000 0.0000
Ge 0.0000 0.2970 0.1454
Os 0.2500 0.2500 0.2500

***

Starting from a DFT-relaxed cell (PBE, Alexandria), the X-ray diffraction stick pattern of GdThGePd was simulated for a wavelength of 1.5418 Å.
No peak broadening, texture or thermal motion is included.

Most intense lines, 2θ from 10° to 90°, sorted by position:
2θ/deg  I (rel.)
21.23  41
24.56  143
35.01  1000
41.31  24
43.24  45
50.35  179
56.80  63
62.80  370
73.97  115
79.30  32
84.54  164
89.73  20

Structure:
Lattice parameters (Å, degrees): 7.2488 7.2488 7.2488 90.00 90.00 90.00
Space group F-43m (No. 216)
Asymmetric unit:
Gd 0.0000 0.0000 0.0000
Th 0.0000 0.0000 0.5000
Ge 0.2500 0.2500 0.7500
Pd 0.2500 0.2500 0.2500

***

Starting from a DFT-relaxed cell (PBE, Alexandria), the X-ray diffraction stick pattern of GdSnGe2 was simulated for a wavelength of 1.5418 Å.
No peak broadening, texture or thermal motion is included.

Most intense lines, 2θ from 10° to 90°, sorted by position:
2θ/deg  I (rel.)
21.17  73
27.35  79
34.84  1000
39.07  366
43.11  139
44.85  44
56.44  125
59.57  213
68.07  286
73.57  115
73.69  114
83.94  41

Structure:
Lattice parameters (Å, degrees): 4.6111 4.6111 4.1971 90.00 90.00 90.00
Space group P4/mmm (No. 123)
Asymmetric unit:
Gd 0.0000 0.0000 0.0000
Sn 0.5000 0.5000 0.0000
Ge 0.0000 0.5000 0.5000

***

Starting from a DFT-relaxed cell (PBE, Alexandria), the X-ray diffraction stick pattern of Gd2SnGe was simulated for a wavelength of 1.5418 Å.
No peak broadening, texture or thermal motion is included.

Most intense lines, 2θ from 10° to 90°, sorted by position:
2θ/deg  I (rel.)
26.60  64
29.53  1000
31.56  72
39.29  410
44.66  76
45.04  331
54.78  178
57.03  62
61.28  112
65.29  149
73.54  150
79.21  108

Structure:
Lattice parameters (Å, degrees): 4.0258 4.0258 24.3502 90.00 90.00 120.00
Space group R-3m (No. 166, hexagonal axes)
Asymmetric unit:
Gd 0.0000 0.0000 0.2396
Sn 0.0000 0.0000 0.0000
Ge 0.0000 0.0000 0.5000

***

Starting from a DFT-relaxed cell (PBE, Alexandria), the X-ray diffraction stick pattern of GdTiGe was simulated for a wavelength of 1.5418 Å.
No peak broadening, texture or thermal motion is included.

Most intense lines, 2θ from 10° to 90°, sorted by position:
2θ/deg  I (rel.)
24.68  199
31.09  703
31.78  1000
33.19  602
34.48  254
38.90  700
41.19  251
44.54  600
55.75  407
57.52  227
63.88  265
81.20  272

Structure:
Lattice parameters (Å, degrees): 4.0684 4.0684 7.8035 90.00 90.00 90.00
Space group P4/nmm (No. 129, origin choice 2)
Asymmetric unit:
Gd 0.2500 0.2500 0.1527
Ti 0.2500 0.7500 0.5000
Ge 0.2500 0.2500 0.7365

***

Starting from a DFT-relaxed cell (PBE, Alexandria), the X-ray diffraction stick pattern of GdTiGe was simulated for a wavelength of 1.5418 Å.
No peak broadening, texture or thermal motion is included.

Most intense lines, 2θ from 10° to 90°, sorted by position:
2θ/deg  I (rel.)
27.82  758
31.08  864
33.18  782
34.41  323
36.23  1000
38.87  820
44.53  737
53.32  254
57.47  287
57.70  373
58.70  490
75.69  334

Structure:
Lattice parameters (Å, degrees): 4.0689 4.0689 15.6363 90.00 90.00 90.00
Space group I4/mmm (No. 139)
Asymmetric unit:
Gd 0.0000 0.0000 0.1749
Ti 0.0000 0.5000 0.0000
Ge 0.0000 0.0000 0.3801

***

Starting from a DFT-relaxed cell (PBE, Alexandria), the X-ray diffraction stick pattern of GdHgH was simulated for a wavelength of 1.5418 Å.
No peak broadening, texture or thermal motion is included.

Most intense lines, 2θ from 10° to 90°, sorted by position:
2θ/deg  I (rel.)
27.15  156
27.55  180
30.58  143
33.03  1000
35.96  86
37.44  195
46.85  75
47.97  292
59.48  189
62.38  267
64.76  146
79.79  188

Structure:
Lattice parameters (Å, degrees): 3.7932 3.7932 19.2171 90.00 90.00 120.00
Space group P6_3/mmc (No. 194)
Asymmetric unit:
Gd 0.3333 0.6667 0.1243
Hg 0.0000 0.0000 0.0000
Hg 0.0000 0.0000 0.2500
H 0.3333 0.6667 0.6277